The following is a theoretical X-ray powder pattern of CsBi2. It was derived from a structure optimized by DFT (GGA-PBE), using CuKα.
Intensities are scaled so that the largest is 100.

Structural model:
a b c (Å): 9.842 9.842 9.842
angles (deg): 90.00 90.00 90.00
Space group Fd-3m (No. 227, origin choice 2)
One atom of each set of equivalent atoms:
Cs 0.125 0.125 0.125 [8 per cell]
Bi 0.000 0.000 0.500 [16 per cell]

Top 10 peaks for 2θ = 15–90°, in order of falling intensity:
Position (°2θ)	I (rel.)
30.11	100
31.49	57
48.03	37
52.60	36
62.61	25
73.97	24
15.59	22
25.60	15
36.52	14
61.81	13